The following is a simulated powder X-ray diffraction pattern of TeI3. It was derived from DFT lattice parameters and positions (PBE), using λ = 1.5418 Å (Cu Kα).
No peak broadening, texture or thermal motion is included.

Structure:
```
data_TeI3
_chemical_formula_sum 'Te4 I12'
_symmetry_space_group_name_H-M 'I 41/a m d'
_symmetry_Int_Tables_number 141
_cell_length_a 9.398
_cell_length_b 9.398
_cell_length_c 14.107
_cell_angle_alpha 90.00
_cell_angle_beta 90.00
_cell_angle_gamma 90.00
loop_
_symmetry_equiv_pos_as_xyz
'x,y,z'
'-x,-y,-z'
'-y+1/4,x+3/4,z+1/4'
'y+1/4,-x+3/4,-z+1/4'
'-x+1/2,-y,z+1/2'
'x+1/2,y,-z+1/2'
'y+1/4,-x+1/4,z+3/4'
'-y+1/4,x+1/4,-z+3/4'
'x,-y,-z'
'-x,y,z'
'-y+1/4,-x+1/4,-z+3/4'
'y+1/4,x+1/4,z+3/4'
'-x+1/2,y,-z+1/2'
'x+1/2,-y,z+1/2'
'y+1/4,x+3/4,-z+1/4'
'-y+1/4,-x+3/4,z+1/4'
'x+1/2,y+1/2,z+1/2'
'-x+1/2,-y+1/2,-z+1/2'
'-y+3/4,x+1/4,z+3/4'
'y+3/4,-x+1/4,-z+3/4'
'-x,-y+1/2,z'
'x,y+1/2,-z'
'y+3/4,-x+3/4,z+1/4'
'-y+3/4,x+3/4,-z+1/4'
'x+1/2,-y+1/2,-z+1/2'
'-x+1/2,y+1/2,z+1/2'
'-y+3/4,-x+3/4,-z+1/4'
'y+3/4,x+3/4,z+1/4'
'-x,y+1/2,-z'
'x,-y+1/2,z'
'y+3/4,x+1/4,-z+3/4'
'-y+3/4,-x+1/4,z+3/4'
loop_
_atom_site_label
_atom_site_type_symbol
_atom_site_fract_x
_atom_site_fract_y
_atom_site_fract_z
Te1 Te 0.000 0.250 0.375
I1 I 0.000 0.000 0.500
I2 I 0.000 0.250 0.875
```

Peak list (6 most intense, 10° ≤ 2θ ≤ 90°, in order of rising 2θ)
| 2θ/deg | I (rel.) | hkl |
| --- | --- | --- |
| 11.3 | 728 | 1 0 1 |
| 18.3 | 1000 | 1 1 2 |
| 18.9 | 467 | 2 0 0 |
| 22.7 | 607 | 2 0 2 |
| 32.7 | 470 | 3 1 2 |
| 37.2 | 665 | 2 2 4 |